# 1
Na3Sc3GeS8: theoretical powder XRD pattern (copper Kα), based on a structure optimized by DFT (PBE).
Lines closer than 0.1° are merged.

Peak list (10 most intense, 10° ≤ 2θ ≤ 80°, by intensity)
33.01 deg, I 100
13.14 deg, I 52
49.06 deg, I 32
45.65 deg, I 31
60.41 deg, I 15
42.04 deg, I 14
14.45 deg, I 13
76.31 deg, I 9
69.25 deg, I 8
51.02 deg, I 8

Structure:
abc: 7.9886 7.9886 7.9886
angles: 55.40 55.40 55.40
Element x y z (fractional)
Na: 0.0000 0.5000 0.5000
Na: 0.5000 0.0000 0.5000
Na: 0.5000 0.5000 0.0000
Sc: 0.0000 0.0000 0.5000
Sc: 0.0000 0.5000 0.0000
Sc: 0.5000 0.0000 0.0000
Ge: 0.5000 0.5000 0.5000
S: 0.2380 0.2380 0.2380
S: 0.2525 0.7271 0.7271
S: 0.2729 0.2729 0.7475
S: 0.2729 0.7475 0.2729
S: 0.7271 0.2525 0.7271
S: 0.7271 0.7271 0.2525
S: 0.7475 0.2729 0.2729
S: 0.7620 0.7620 0.7620

# 2
NaSm3GeS7: theoretical powder XRD pattern (copper Kα), based on a structure optimized by DFT (PBE).
Lines closer than 0.1° are merged.

Peak list (10 most intense, 10° ≤ 2θ ≤ 80°, by intensity)
25.31 deg, I 100
35.28 deg, I 37
36.77 deg, I 34
36.90 deg, I 34
39.98 deg, I 32
20.15 deg, I 32
23.17 deg, I 31
41.08 deg, I 29
26.77 deg, I 24
49.93 deg, I 22

Structure:
abc: 10.1751 10.1751 5.8472
angles: 90.00 90.00 120.00
Element x y z (fractional)
Na: 0.0000 0.0000 0.0000
Na: 0.0000 0.0000 0.5000
Sm: 0.1292 0.3608 0.2762
Sm: 0.2316 0.8708 0.2762
Sm: 0.3608 0.2316 0.7762
Sm: 0.6392 0.7684 0.2762
Sm: 0.7684 0.1292 0.7762
Sm: 0.8708 0.6392 0.7762
Ge: 0.3333 0.6667 0.8592
Ge: 0.6667 0.3333 0.3592
S: 0.0951 0.2606 0.7471
S: 0.1041 0.5856 0.0186
S: 0.1655 0.9049 0.7471
S: 0.2606 0.1655 0.2471
S: 0.3333 0.6667 0.4819
S: 0.4144 0.5185 0.0186
S: 0.4815 0.8959 0.0186
S: 0.5185 0.1041 0.5186
S: 0.5856 0.4815 0.5186
S: 0.6667 0.3333 0.9819
S: 0.7394 0.8345 0.7471
S: 0.8345 0.0951 0.2471
S: 0.8959 0.4144 0.5186
S: 0.9049 0.7394 0.2471

# 3
Na2TlGeS4: theoretical powder XRD pattern (copper Kα), based on a structure optimized by DFT (PBE).
Lines closer than 0.1° are merged.

Peak list (10 most intense, 10° ≤ 2θ ≤ 80°, by intensity)
16.80 deg, I 100
29.97 deg, I 75
45.93 deg, I 62
29.48 deg, I 43
23.85 deg, I 40
34.56 deg, I 39
33.98 deg, I 37
17.08 deg, I 25
55.04 deg, I 17
56.60 deg, I 14

Structure:
abc: 7.4617 7.4617 7.2268
angles: 90.00 90.00 90.00
Element x y z (fractional)
Na: 0.0000 0.5000 0.2500
Na: 0.0000 0.5000 0.7500
Na: 0.5000 0.0000 0.2500
Na: 0.5000 0.0000 0.7500
Tl: 0.0000 0.0000 0.0000
Tl: 0.5000 0.5000 0.5000
Ge: 0.0000 0.0000 0.5000
Ge: 0.5000 0.5000 0.0000
S: 0.1724 0.1724 0.3182
S: 0.1724 0.8276 0.6818
S: 0.3276 0.3276 0.8182
S: 0.3276 0.6724 0.1818
S: 0.6724 0.3276 0.1818
S: 0.6724 0.6724 0.8182
S: 0.8276 0.1724 0.6818
S: 0.8276 0.8276 0.3182

# 4
Na2ZnGe2S6: theoretical powder XRD pattern (copper Kα), based on a structure optimized by DFT (PBE).
Lines closer than 0.1° are merged.

Peak list (10 most intense, 10° ≤ 2θ ≤ 80°, by intensity)
14.12 deg, I 100
14.72 deg, I 83
29.63 deg, I 56
27.59 deg, I 39
31.65 deg, I 35
26.61 deg, I 33
28.45 deg, I 32
24.57 deg, I 32
24.78 deg, I 31
16.09 deg, I 30

Structure:
abc: 7.2952 7.2952 11.7861
angles: 96.55 96.55 118.82
Element x y z (fractional)
Na: 0.0263 0.9737 0.5000
Na: 0.3933 0.8020 0.1593
Na: 0.8020 0.3933 0.6593
Na: 0.9737 0.0263 0.0000
Zn: 0.3902 0.9091 0.8184
Zn: 0.9091 0.3902 0.3184
Ge: 0.3403 0.3825 0.7906
Ge: 0.3825 0.3403 0.2906
Ge: 0.3918 0.6708 0.5478
Ge: 0.6708 0.3918 0.0478
S: 0.0383 0.1511 0.2920
S: 0.0633 0.6123 0.5051
S: 0.1511 0.0383 0.7920
S: 0.1721 0.5508 0.8394
S: 0.3812 0.3956 0.1035
S: 0.3956 0.3812 0.6035
S: 0.5441 0.6891 0.3880
S: 0.5508 0.1721 0.3394
S: 0.6107 0.9560 0.6803
S: 0.6123 0.0633 0.0051
S: 0.6891 0.5441 0.8880
S: 0.9560 0.6107 0.1803

# 5
Na3Ge2Se4: theoretical powder XRD pattern (copper Kα), based on a structure optimized by DFT (PBE).
Lines closer than 0.1° are merged.

Peak list (10 most intense, 10° ≤ 2θ ≤ 80°, by intensity)
16.61 deg, I 100
31.20 deg, I 76
31.77 deg, I 69
27.40 deg, I 65
23.45 deg, I 62
34.38 deg, I 55
11.77 deg, I 50
30.47 deg, I 50
35.24 deg, I 49
25.19 deg, I 48

Structure:
abc: 8.5214 8.5214 8.2133
angles: 90.77 90.77 56.05
Element x y z (fractional)
Na: 0.0060 0.9940 0.7500
Na: 0.3010 0.4617 0.1670
Na: 0.4617 0.3010 0.6670
Na: 0.5383 0.6990 0.3330
Na: 0.6990 0.5383 0.8330
Na: 0.9940 0.0060 0.2500
Ge: 0.0466 0.3320 0.5243
Ge: 0.3320 0.0466 0.0243
Ge: 0.6680 0.9534 0.9757
Ge: 0.9534 0.6680 0.4757
Se: 0.1366 0.3037 0.8295
Se: 0.2236 0.6819 0.5022
Se: 0.3037 0.1366 0.3295
Se: 0.3181 0.7764 0.9978
Se: 0.6819 0.2236 0.0022
Se: 0.6963 0.8634 0.6705
Se: 0.7764 0.3181 0.4978
Se: 0.8634 0.6963 0.1705

# 6
Na2Ge2Se5: theoretical powder XRD pattern (copper Kα), based on a structure optimized by DFT (PBE).
Lines closer than 0.1° are merged.

Peak list (10 most intense, 10° ≤ 2θ ≤ 80°, by intensity)
45.59 deg, I 100
27.10 deg, I 97
28.92 deg, I 67
27.79 deg, I 66
20.40 deg, I 63
18.42 deg, I 48
12.10 deg, I 46
30.60 deg, I 32
48.63 deg, I 31
25.91 deg, I 29

Structure:
abc: 9.6348 9.6348 11.2337
angles: 90.00 90.00 91.31
Element x y z (fractional)
Na: 0.0732 0.5743 0.7500
Na: 0.1451 0.1451 0.0000
Na: 0.1451 0.1451 0.5000
Na: 0.4257 0.9268 0.7500
Na: 0.5743 0.0732 0.2500
Na: 0.8549 0.8549 0.0000
Na: 0.8549 0.8549 0.5000
Na: 0.9268 0.4257 0.2500
Ge: 0.2563 0.7437 0.0794
Ge: 0.2563 0.7437 0.4206
Ge: 0.3147 0.4044 0.2500
Ge: 0.4044 0.3147 0.7500
Ge: 0.5956 0.6853 0.2500
Ge: 0.6853 0.5956 0.7500
Ge: 0.7437 0.2563 0.5794
Ge: 0.7437 0.2563 0.9206
Se: 0.1512 0.8488 0.2500
Se: 0.1570 0.8430 0.5877
Se: 0.1570 0.8430 0.9123
Se: 0.1669 0.2683 0.7500
Se: 0.2028 0.4978 0.0756
Se: 0.2028 0.4978 0.4244
Se: 0.2683 0.1669 0.2500
Se: 0.4400 0.5600 0.7500
Se: 0.4978 0.2028 0.5756
Se: 0.4978 0.2028 0.9244
Se: 0.5022 0.7972 0.0756
Se: 0.5022 0.7972 0.4244
Se: 0.5600 0.4400 0.2500
Se: 0.7317 0.8331 0.7500
Se: 0.7972 0.5022 0.5756
Se: 0.7972 0.5022 0.9244
Se: 0.8331 0.7317 0.2500
Se: 0.8430 0.1570 0.0877
Se: 0.8430 0.1570 0.4123
Se: 0.8488 0.1512 0.7500

# 7
NaGe2Se4: theoretical powder XRD pattern (copper Kα), based on a structure optimized by DFT (PBE).
Lines closer than 0.1° are merged.

Peak list (10 most intense, 10° ≤ 2θ ≤ 80°, by intensity)
25.79 deg, I 100
41.29 deg, I 45
12.77 deg, I 43
53.07 deg, I 26
45.53 deg, I 19
34.29 deg, I 15
45.37 deg, I 14
51.12 deg, I 14
22.31 deg, I 9
66.23 deg, I 8

Structure:
abc: 5.6345 5.6345 6.9332
angles: 90.00 90.00 90.00
Element x y z (fractional)
Na: 0.0000 0.0000 0.0000
Ge: 0.0000 0.5000 0.5000
Ge: 0.5000 0.0000 0.5000
Se: 0.2631 0.2631 0.2899
Se: 0.2631 0.7369 0.7101
Se: 0.7369 0.2631 0.7101
Se: 0.7369 0.7369 0.2899

# 8
Na2Ge2Se5: theoretical powder XRD pattern (copper Kα), based on a structure optimized by DFT (PBE).
Lines closer than 0.1° are merged.

Peak list (10 most intense, 10° ≤ 2θ ≤ 80°, by intensity)
28.51 deg, I 100
14.60 deg, I 77
26.02 deg, I 75
28.28 deg, I 73
17.32 deg, I 61
22.05 deg, I 61
24.73 deg, I 53
12.32 deg, I 46
34.05 deg, I 45
46.55 deg, I 44

Structure:
abc: 14.3724 6.2617 11.3206
angles: 90.00 90.00 90.00
Element x y z (fractional)
Na: 0.0369 0.0033 0.0000
Na: 0.0564 0.5079 0.7445
Na: 0.4436 0.0079 0.2445
Na: 0.4631 0.5033 0.5000
Na: 0.5369 0.4967 0.0000
Na: 0.5564 0.9921 0.7445
Na: 0.9436 0.4921 0.2445
Na: 0.9631 0.9967 0.5000
Ge: 0.1552 0.4587 0.4519
Ge: 0.2051 0.9670 0.6444
Ge: 0.2949 0.4670 0.1444
Ge: 0.3448 0.9587 0.9519
Ge: 0.6552 0.0413 0.4519
Ge: 0.7051 0.5330 0.6444
Ge: 0.7949 0.0330 0.1444
Ge: 0.8448 0.5413 0.9519
Se: 0.0020 0.5020 0.9940
Se: 0.0611 0.0047 0.7333
Se: 0.1643 0.6071 0.2549
Se: 0.2158 0.0995 0.4432
Se: 0.2441 0.1014 0.1055
Se: 0.2559 0.6014 0.6055
Se: 0.2842 0.5995 0.9432
Se: 0.3357 0.1071 0.7549
Se: 0.4389 0.5047 0.2333
Se: 0.4980 0.0020 0.4940
Se: 0.5020 0.9980 0.9940
Se: 0.5611 0.4953 0.7333
Se: 0.6643 0.8929 0.2549
Se: 0.7158 0.4005 0.4432
Se: 0.7441 0.3986 0.1055
Se: 0.7559 0.8986 0.6055
Se: 0.7842 0.9005 0.9432
Se: 0.8357 0.3929 0.7549
Se: 0.9389 0.9953 0.2333
Se: 0.9980 0.4980 0.4940